1.
Ba4LaRe: computed XRD peak list (Cu Kα), based on a GGA-PBE-relaxed structure.
Neutral-atom scattering factors, no anomalous dispersion.

Principal peaks in the range 2θ from 10° to 90°, by angle:
- 2θ = 25.12°, 3.545 Å, intensity 32
- 2θ = 29.55°, 3.023 Å, intensity 100
- 2θ = 30.90°, 2.894 Å, intensity 34
- 2θ = 44.26°, 2.047 Å, intensity 14
- 2θ = 47.10°, 1.929 Å, intensity 37
- 2θ = 51.57°, 1.772 Å, intensity 31
- 2θ = 58.20°, 1.585 Å, intensity 6
- 2θ = 60.56°, 1.529 Å, intensity 13
- 2θ = 61.34°, 1.511 Å, intensity 14
- 2θ = 70.26°, 1.340 Å, intensity 7
- 2θ = 72.40°, 1.305 Å, intensity 23
- 2θ = 83.51°, 1.158 Å, intensity 12

Structure:
a b c (Å): 10.0258 10.0258 10.0258
angles (deg): 90.00 90.00 90.00
Space group F-43m (No. 216)
Asymmetric unit:
Ba1 0.1239 0.1239 0.3761 [16 per cell]
La1 0.0000 0.0000 0.0000 [4 per cell]
Re1 0.2500 0.2500 0.7500 [4 per cell]



2.
BaLaZrRh2: computed XRD peak list (Cu Kα), based on a GGA-PBE-relaxed structure.
Neutral-atom scattering factors, no anomalous dispersion.

Principal peaks in the range 2θ from 10° to 90°, by angle:
- 2θ = 24.04°, 3.702 Å, intensity 49
- 2θ = 24.59°, 3.621 Å, intensity 17
- 2θ = 29.78°, 3.000 Å, intensity 91
- 2θ = 33.43°, 2.680 Å, intensity 57
- 2θ = 35.05°, 2.560 Å, intensity 100
- 2θ = 42.95°, 2.106 Å, intensity 21
- 2θ = 49.22°, 1.851 Å, intensity 75
- 2θ = 50.41°, 1.810 Å, intensity 35
- 2θ = 59.65°, 1.550 Å, intensity 24
- 2θ = 61.85°, 1.500 Å, intensity 38
- 2θ = 80.98°, 1.187 Å, intensity 17
- 2θ = 83.73°, 1.155 Å, intensity 16

Structure:
a b c (Å): 5.1204 5.1204 5.3601
angles (deg): 90.00 90.00 90.00
Space group P4/mmm (No. 123)
Asymmetric unit:
Ba1 0.0000 0.0000 0.0000 [1 per cell]
La1 0.5000 0.5000 0.5000 [1 per cell]
Zr1 0.0000 0.0000 0.5000 [1 per cell]
Rh1 0.0000 0.5000 0.0000 [2 per cell]



3.
BaLa4S6: computed XRD peak list (Cu Kα), based on a GGA-PBE-relaxed structure.
Neutral-atom scattering factors, no anomalous dispersion.

Principal peaks in the range 2θ from 10° to 90°, by angle:
- 2θ = 23.71°, 3.752 Å, intensity 31
- 2θ = 24.58°, 3.621 Å, intensity 100
- 2θ = 25.53°, 3.490 Å, intensity 44
- 2θ = 25.71°, 3.464 Å, intensity 31
- 2θ = 29.08°, 3.071 Å, intensity 36
- 2θ = 30.00°, 2.979 Å, intensity 84
- 2θ = 31.47°, 2.842 Å, intensity 54
- 2θ = 40.76°, 2.214 Å, intensity 37
- 2θ = 42.64°, 2.120 Å, intensity 43
- 2θ = 42.69°, 2.118 Å, intensity 22
- 2θ = 43.18°, 2.095 Å, intensity 31
- 2θ = 50.34°, 1.813 Å, intensity 38

Structure:
a b c (Å): 4.1900 13.8579 21.2372
angles (deg): 90.00 90.00 90.00
Space group Cmcm (No. 63)
Asymmetric unit:
Ba1 0.0000 0.1576 0.2500 [4 per cell]
La1 0.0000 0.0961 0.6298 [8 per cell]
La2 0.0000 0.3632 0.5415 [8 per cell]
S1 0.0000 0.0000 0.0000 [4 per cell]
S2 0.0000 0.1777 0.7500 [4 per cell]
S3 0.0000 0.2697 0.0862 [8 per cell]
S4 0.0000 0.4601 0.6601 [8 per cell]



4.
Ba3LaS4: computed XRD peak list (Cu Kα), based on a GGA-PBE-relaxed structure.
Neutral-atom scattering factors, no anomalous dispersion.

Principal peaks in the range 2θ from 10° to 90°, by angle:
- 2θ = 24.46°, 3.639 Å, intensity 34
- 2θ = 24.61°, 3.617 Å, intensity 33
- 2θ = 28.40°, 3.142 Å, intensity 100
- 2θ = 40.40°, 2.232 Å, intensity 12
- 2θ = 40.61°, 2.222 Å, intensity 49
- 2θ = 40.79°, 2.212 Å, intensity 12
- 2θ = 47.88°, 1.900 Å, intensity 12
- 2θ = 48.03°, 1.894 Å, intensity 12
- 2θ = 50.13°, 1.820 Å, intensity 13
- 2θ = 50.46°, 1.809 Å, intensity 13
- 2θ = 58.77°, 1.571 Å, intensity 12
- 2θ = 66.55°, 1.405 Å, intensity 22

Structure:
a b c (Å): 8.9296 12.5645 4.4244
angles (deg): 90.00 90.00 90.00
Space group Cmmm (No. 65)
Asymmetric unit:
Ba1 0.0000 0.0000 0.0000 [2 per cell]
Ba2 0.2500 0.2500 0.5000 [4 per cell]
La1 0.0000 0.5000 0.0000 [2 per cell]
S1 0.0000 0.2629 0.0000 [4 per cell]
S2 0.2293 0.5000 0.5000 [4 per cell]



5.
BaLa2Si2S8: computed XRD peak list (Cu Kα), based on a GGA-PBE-relaxed structure.
Neutral-atom scattering factors, no anomalous dispersion.

Principal peaks in the range 2θ from 10° to 90°, by angle:
- 2θ = 19.42°, 4.572 Å, intensity 42
- 2θ = 21.23°, 4.185 Å, intensity 92
- 2θ = 21.42°, 4.149 Å, intensity 100
- 2θ = 21.80°, 4.076 Å, intensity 97
- 2θ = 27.19°, 3.280 Å, intensity 34
- 2θ = 33.21°, 2.697 Å, intensity 74
- 2θ = 33.97°, 2.639 Å, intensity 41
- 2θ = 34.95°, 2.567 Å, intensity 54
- 2θ = 35.08°, 2.558 Å, intensity 48
- 2θ = 35.68°, 2.516 Å, intensity 52
- 2θ = 38.53°, 2.336 Å, intensity 42
- 2θ = 38.98°, 2.310 Å, intensity 46

Structure:
a b c (Å): 15.8388 9.4143 10.4450
angles (deg): 90.00 118.91 90.00
Space group Cc (No. 9)
Asymmetric unit:
Ba1 0.0000 0.0767 0.0000 [4 per cell]
La1 0.1708 0.4445 0.4867 [4 per cell]
La2 0.3247 0.0979 0.9900 [4 per cell]
Si1 0.0847 0.2695 0.7213 [4 per cell]
Si2 0.2571 0.2394 0.2621 [4 per cell]
S1 0.0040 0.4021 0.7879 [4 per cell]
S2 0.0069 0.2726 0.4867 [4 per cell]
S3 0.1042 0.0653 0.8164 [4 per cell]
S4 0.1192 0.3324 0.1856 [4 per cell]
S5 0.2291 0.3471 0.7953 [4 per cell]
S6 0.2598 0.0255 0.1960 [4 per cell]
S7 0.3250 0.2393 0.4965 [4 per cell]
S8 0.3287 0.3622 0.1689 [4 per cell]



6.
BaLa3Se4: computed XRD peak list (Cu Kα), based on a GGA-PBE-relaxed structure.
Neutral-atom scattering factors, no anomalous dispersion.

Principal peaks in the range 2θ from 10° to 90°, by angle:
- 2θ = 25.22°, 3.532 Å, intensity 26
- 2θ = 26.51°, 3.362 Å, intensity 19
- 2θ = 28.09°, 3.177 Å, intensity 86
- 2θ = 29.91°, 2.987 Å, intensity 100
- 2θ = 41.23°, 2.189 Å, intensity 81
- 2θ = 41.64°, 2.169 Å, intensity 45
- 2θ = 44.35°, 2.042 Å, intensity 17
- 2θ = 50.63°, 1.803 Å, intensity 16
- 2θ = 51.77°, 1.766 Å, intensity 21
- 2θ = 66.90°, 1.399 Å, intensity 26
- 2θ = 68.23°, 1.375 Å, intensity 18
- 2θ = 75.44°, 1.260 Å, intensity 15

Structure:
a b c (Å): 4.3789 4.3789 29.0859
angles (deg): 90.00 90.00 120.00
Space group P6_3/mmc (No. 194)
Asymmetric unit:
Ba1 0.3333 0.6667 0.2500 [2 per cell]
La1 0.0000 0.0000 0.0000 [2 per cell]
La2 0.3333 0.6667 0.6177 [4 per cell]
Se1 0.0000 0.0000 0.1780 [4 per cell]
Se2 0.3333 0.6667 0.0595 [4 per cell]